# Al3Co20B6
Simulated X-ray diffraction stick pattern, λ = 1.5418 Å (Cu Kα). Input: DFT lattice parameters and positions (PBE).
Kinematic intensities with the Lorentz-polarization factor, no thermal factor.

Cell and atoms:
```
data_Al3Co20B6
_symmetry_space_group_name_H-M 'P 1'
_symmetry_Int_Tables_number 1
_symmetry_space_group_name_Hall 'P 1'
_cell_length_a 7.399
_cell_length_b 7.399
_cell_length_c 7.399
_cell_angle_alpha 60.00
_cell_angle_beta 60.00
_cell_angle_gamma 60.00
loop_
_atom_site_label
_atom_site_type_symbol
_atom_site_fract_x
_atom_site_fract_y
_atom_site_fract_z
_atom_site_occupancy
Al1 Al 0.000 0.000 0.000 1
Al2 Al 0.250 0.250 0.250 1
Al3 Al 0.750 0.750 0.750 1
Co1 Co 0.000 0.000 0.340 1
Co2 Co 0.000 0.000 0.660 1
Co3 Co 0.000 0.340 0.000 1
Co4 Co 0.000 0.340 0.660 1
Co5 Co 0.000 0.660 0.000 1
Co6 Co 0.000 0.660 0.340 1
Co7 Co 0.147 0.618 0.618 1
Co8 Co 0.340 0.000 0.000 1
Co9 Co 0.340 0.000 0.660 1
Co10 Co 0.340 0.660 0.000 1
Co11 Co 0.382 0.382 0.382 1
Co12 Co 0.382 0.382 0.853 1
Co13 Co 0.382 0.853 0.382 1
Co14 Co 0.618 0.147 0.618 1
Co15 Co 0.618 0.618 0.147 1
Co16 Co 0.618 0.618 0.618 1
Co17 Co 0.660 0.000 0.000 1
Co18 Co 0.660 0.000 0.340 1
Co19 Co 0.660 0.340 0.000 1
Co20 Co 0.853 0.382 0.382 1
B1 B 0.277 0.277 0.723 1
B2 B 0.277 0.723 0.277 1
B3 B 0.277 0.723 0.723 1
B4 B 0.723 0.277 0.277 1
B5 B 0.723 0.277 0.723 1
B6 B 0.723 0.723 0.277 1
```

Main lines, low angle first (15 to 90 degrees two-theta):
d [Å], intensity
3.699, 96
2.616, 125
2.340, 202
2.136, 156
2.014, 1000
1.850, 152
1.769, 365
1.744, 162
1.233, 176
1.208, 116

***

# Al2CrB2Mo
Simulated X-ray diffraction stick pattern, λ = 1.5418 Å (Cu Kα). Input: DFT lattice parameters and positions (PBE).
Kinematic intensities with the Lorentz-polarization factor, no thermal factor.

Cell and atoms:
```
data_Al2CrB2Mo
_symmetry_space_group_name_H-M 'P 1'
_symmetry_Int_Tables_number 1
_symmetry_space_group_name_Hall 'P 1'
_cell_length_a 3.059
_cell_length_b 3.138
_cell_length_c 13.872
_cell_angle_alpha 90.00
_cell_angle_beta 90.00
_cell_angle_gamma 90.00
loop_
_atom_site_label
_atom_site_type_symbol
_atom_site_fract_x
_atom_site_fract_y
_atom_site_fract_z
_atom_site_occupancy
Al1 Al 0.000 0.000 0.000 1
Al2 Al 0.000 0.500 0.500 1
Al3 Al 0.500 0.000 0.393 1
Al4 Al 0.500 0.500 0.893 1
Cr1 Cr 0.000 0.000 0.786 1
Cr2 Cr 0.000 0.500 0.286 1
B1 B 0.000 0.000 0.171 1
B2 B 0.000 0.500 0.671 1
B3 B 0.500 0.000 0.236 1
B4 B 0.500 0.500 0.736 1
Mo1 Mo 0.500 0.000 0.612 1
Mo2 Mo 0.500 0.500 0.112 1
```

Main lines, low angle first (15 to 90 degrees two-theta):
d [Å], intensity
3.468, 265
3.061, 750
2.799, 528
2.294, 883
2.164, 1000
2.079, 933
1.980, 673
1.295, 268
1.261, 306
1.232, 318

***

# Cs2Al2B2O7
Simulated X-ray diffraction stick pattern, λ = 1.5418 Å (Cu Kα). Input: DFT lattice parameters and positions (PBE).
Kinematic intensities with the Lorentz-polarization factor, no thermal factor.

Cell and atoms:
```
data_Cs2Al2B2O7
_symmetry_space_group_name_H-M 'P 1'
_symmetry_Int_Tables_number 1
_symmetry_space_group_name_Hall 'P 1'
_cell_length_a 6.805
_cell_length_b 7.230
_cell_length_c 9.747
_cell_angle_alpha 90.00
_cell_angle_beta 115.22
_cell_angle_gamma 90.00
loop_
_atom_site_label
_atom_site_type_symbol
_atom_site_fract_x
_atom_site_fract_y
_atom_site_fract_z
_atom_site_occupancy
Cs1 Cs 0.223 0.137 0.383 1
Cs2 Cs 0.223 0.363 0.883 1
Cs3 Cs 0.777 0.637 0.117 1
Cs4 Cs 0.777 0.863 0.617 1
Al1 Al 0.239 0.619 0.540 1
Al2 Al 0.239 0.881 0.040 1
Al3 Al 0.761 0.119 0.960 1
Al4 Al 0.761 0.381 0.460 1
B1 B 0.354 0.611 0.275 1
B2 B 0.354 0.889 0.775 1
B3 B 0.646 0.111 0.225 1
B4 B 0.646 0.389 0.725 1
O1 O 0.000 0.000 0.000 1
O2 O 0.000 0.500 0.500 1
O3 O 0.255 0.660 0.123 1
O4 O 0.255 0.840 0.623 1
O5 O 0.259 0.668 0.369 1
O6 O 0.259 0.832 0.869 1
O7 O 0.461 0.006 0.172 1
O8 O 0.461 0.494 0.672 1
O9 O 0.539 0.506 0.328 1
O10 O 0.539 0.994 0.828 1
O11 O 0.741 0.168 0.131 1
O12 O 0.741 0.332 0.631 1
O13 O 0.745 0.160 0.377 1
O14 O 0.745 0.340 0.877 1
```

Main lines, low angle first (15 to 90 degrees two-theta):
d [Å], intensity
4.641, 510
3.764, 965
3.345, 820
3.161, 910
3.075, 1000
3.026, 492
2.971, 527
2.960, 571
2.758, 492
2.322, 376